1.
For Li7Mn4CoO12, a crystal structure in Alexandria, relaxed with GGA+U gives the simulated X-ray powder pattern in this record (Cu Ka).
No peak broadening, texture or thermal motion is included.

Cell and atoms:
```
data_Li7Mn4CoO12
_cell_length_a 5.3174
_cell_length_b 2.8701
_cell_length_c 14.5231
_cell_angle_alpha 90.00
_cell_angle_beta 92.63
_cell_angle_gamma 90.00
_space_group_name_H-M_alt 'P 1 2/m 1'
_space_group_IT_number 10
loop_
_space_group_symop_operation_xyz
'x,y,z'
'-x,-y,-z'
'-x,y,-z'
'x,-y,z'
loop_
_atom_site_label
_atom_site_type_symbol
_atom_site_fract_x
_atom_site_fract_y
_atom_site_fract_z
_atom_site_occupancy
Li1 Li 0.0000 0.0000 0.0000 1
Li2 Li 0.0000 0.0000 0.5000 1
Li3 Li 0.1321 0.5000 0.3494 1
Li4 Li 0.3638 0.0000 0.6553 1
Li5 Li 0.5000 0.5000 0.0000 1
Mn1 Mn 0.1785 0.5000 0.8292 1
Mn2 Mn 0.3207 0.0000 0.1692 1
Co1 Co 0.5000 0.5000 0.5000 1
O1 O 0.0311 0.0000 0.7524 1
O2 O 0.1772 0.5000 0.0906 1
O3 O 0.2196 0.5000 0.5725 1
O4 O 0.3185 0.0000 0.9090 1
O5 O 0.3457 0.0000 0.4276 1
O6 O 0.4691 0.5000 0.2442 1
```

The 12 most intense peaks (10 to 90 degrees two-theta), by angle:
2theta	I/Imax
16.7	6.9
18.3	100.0
34.0	17.9
36.2	23.6
41.2	32.7
44.1	56.7
47.2	9.8
58.2	9.5
61.5	16.0
62.4	15.5
63.4	7.4
65.0	7.5

---

2.
For Li7Mn4CoO12, a crystal structure in Alexandria, relaxed with GGA+U gives the simulated X-ray powder pattern in this record (Cu Ka).
No peak broadening, texture or thermal motion is included.

Cell and atoms:
```
data_Li7Mn4CoO12
_cell_length_a 9.7681
_cell_length_b 2.8761
_cell_length_c 15.5393
_cell_angle_alpha 90.00
_cell_angle_beta 98.21
_cell_angle_gamma 90.00
_space_group_name_H-M_alt 'C 1 m 1'
_space_group_IT_number 8
loop_
_space_group_symop_operation_xyz
'x,y,z'
'x,-y,z'
'x+1/2,y+1/2,z'
'x+1/2,-y+1/2,z'
loop_
_atom_site_label
_atom_site_type_symbol
_atom_site_fract_x
_atom_site_fract_y
_atom_site_fract_z
_atom_site_occupancy
Li1 Li 0.0000 0.0000 0.0000 1
Li2 Li 0.0039 0.5000 0.8461 1
Li3 Li 0.2321 0.0000 0.2409 1
Li4 Li 0.4633 0.0000 0.4811 1
Li5 Li 0.4709 0.5000 0.3133 1
Li6 Li 0.4797 0.5000 0.6588 1
Li7 Li 0.4912 0.0000 0.1708 1
Mn1 Mn 0.2104 0.5000 0.3971 1
Mn2 Mn 0.2197 0.0000 0.5742 1
Mn3 Mn 0.2472 0.5000 0.0846 1
Mn4 Mn 0.2508 0.5000 0.7561 1
Co1 Co 0.2545 0.0000 0.9213 1
O1 O 0.1018 0.0000 0.4421 1
O2 O 0.1064 0.5000 0.2912 1
O3 O 0.1108 0.5000 0.6178 1
O4 O 0.1310 0.0000 0.1138 1
O5 O 0.1443 0.0000 0.8031 1
O6 O 0.1442 0.5000 0.9605 1
O7 O 0.3275 0.5000 0.5289 1
O8 O 0.3285 0.0000 0.3701 1
O9 O 0.3549 0.0000 0.0374 1
O10 O 0.3564 0.0000 0.7095 1
O11 O 0.3559 0.5000 0.1901 1
O12 O 0.3688 0.5000 0.8854 1
```

The 12 most intense peaks (10 to 90 degrees two-theta), by angle:
2theta	I/Imax
11.5	11.7
18.4	100.0
35.0	15.1
36.4	23.0
36.8	8.7
42.2	23.1
44.2	51.7
58.2	7.5
62.7	9.0
62.8	12.9
63.7	6.1
64.8	7.4

---

3.
For Li7Mn4CoO12, a crystal structure in Alexandria, relaxed with GGA+U gives the simulated X-ray powder pattern in this record (Cu Ka).
No peak broadening, texture or thermal motion is included.

Cell and atoms:
```
data_Li7Mn4CoO12
_cell_length_a 3.0361
_cell_length_b 5.0713
_cell_length_c 14.6238
_cell_angle_alpha 82.29
_cell_angle_beta 86.71
_cell_angle_gamma 86.40
_space_group_name_H-M_alt 'P -1'
_space_group_IT_number 2
loop_
_space_group_symop_operation_xyz
'x,y,z'
'-x,-y,-z'
loop_
_atom_site_label
_atom_site_type_symbol
_atom_site_fract_x
_atom_site_fract_y
_atom_site_fract_z
_atom_site_occupancy
Li1 Li 0.0000 0.0000 0.0000 1
Li2 Li 0.0536 0.4100 0.8445 1
Li3 Li 0.2513 0.2512 0.4998 1
Li4 Li 0.4222 0.0753 0.1563 1
Mn1 Mn 0.1563 0.8339 0.6700 1
Mn2 Mn 0.3432 0.6657 0.3298 1
Co1 Co 0.5000 0.5000 0.0000 1
O1 O 0.0092 0.6833 0.9288 1
O2 O 0.0875 0.1198 0.7488 1
O3 O 0.2304 0.5485 0.5907 1
O4 O 0.2715 0.9508 0.4088 1
O5 O 0.4071 0.3755 0.2543 1
O6 O 0.4594 0.7557 0.0739 1
```

The 12 most intense peaks (10 to 90 degrees two-theta), by angle:
2theta	I/Imax
18.4	100.0
33.7	20.4
36.2	12.1
36.3	11.0
37.3	7.8
40.6	37.8
44.2	29.0
44.6	27.1
61.3	17.9
61.8	8.6
62.4	8.0
64.9	7.6

---

4.
For Li7Mn2Co3O12, a crystal structure in Alexandria, relaxed with GGA+U gives the simulated X-ray powder pattern in this record (Cu Ka).
No peak broadening, texture or thermal motion is included.

Cell and atoms:
```
data_Li7Mn2Co3O12
_cell_length_a 2.9044
_cell_length_b 7.7559
_cell_length_c 9.7815
_cell_angle_alpha 93.54
_cell_angle_beta 97.34
_cell_angle_gamma 99.34
_space_group_name_H-M_alt 'P -1'
_space_group_IT_number 2
loop_
_space_group_symop_operation_xyz
'x,y,z'
'-x,-y,-z'
loop_
_atom_site_label
_atom_site_type_symbol
_atom_site_fract_x
_atom_site_fract_y
_atom_site_fract_z
_atom_site_occupancy
Li1 Li 0.0000 0.0000 0.0000 1
Li2 Li 0.0832 0.4107 0.7455 1
Li3 Li 0.2371 0.2467 0.2454 1
Li4 Li 0.4103 0.0658 0.7582 1
Mn1 Mn 0.3314 0.6756 0.9963 1
Co1 Co 0.1674 0.8332 0.4999 1
Co2 Co 0.5000 0.5000 0.5000 1
O1 O 0.0760 0.2265 0.8895 1
O2 O 0.1329 0.6173 0.6153 1
O3 O 0.1986 0.0479 0.3833 1
O4 O 0.2736 0.4556 0.1068 1
O5 O 0.3651 0.8533 0.8829 1
O6 O 0.4683 0.2841 0.6169 1
```

The 12 most intense peaks (10 to 90 degrees two-theta), by angle:
2theta	I/Imax
11.6	8.3
18.4	100.0
35.6	14.1
35.8	14.5
36.6	11.8
42.9	30.8
43.4	29.1
44.4	27.3
62.6	8.2
62.8	15.6
63.6	7.7
64.2	15.2

---

5.
For Li7Mn2Co3O12, a crystal structure in Alexandria, relaxed with GGA+U gives the simulated X-ray powder pattern in this record (Cu Ka).
No peak broadening, texture or thermal motion is included.

Cell and atoms:
```
data_Li7Mn2Co3O12
_cell_length_a 5.8456
_cell_length_b 5.8965
_cell_length_c 7.7014
_cell_angle_alpha 100.91
_cell_angle_beta 101.08
_cell_angle_gamma 119.71
_space_group_name_H-M_alt 'P -1'
_space_group_IT_number 2
loop_
_space_group_symop_operation_xyz
'x,y,z'
'-x,-y,-z'
loop_
_atom_site_label
_atom_site_type_symbol
_atom_site_fract_x
_atom_site_fract_y
_atom_site_fract_z
_atom_site_occupancy
Li1 Li 0.0000 0.0000 0.0000 1
Li2 Li 0.0000 0.5000 0.0000 1
Li3 Li 0.0009 0.3407 0.3292 1
Li4 Li 0.4974 0.6587 0.6685 1
Li5 Li 0.5000 0.0000 0.0000 1
Mn1 Mn 0.0015 0.8419 0.3285 1
Co1 Co 0.4885 0.8283 0.3210 1
Co2 Co 0.5000 0.5000 0.0000 1
O1 O 0.2276 0.2239 0.5040 1
O2 O 0.2341 0.0746 0.8219 1
O3 O 0.2428 0.7705 0.4879 1
O4 O 0.2456 0.5411 0.8315 1
O5 O 0.2465 0.9273 0.1846 1
O6 O 0.2840 0.4552 0.1706 1
```

The 12 most intense peaks (10 to 90 degrees two-theta), by angle:
2theta	I/Imax
18.4	100.0
18.6	6.9
36.0	26.5
36.1	14.2
37.6	7.4
43.4	27.6
43.8	27.4
43.9	26.6
47.6	8.4
63.1	14.3
63.7	14.6
63.8	14.2

---

6.
For Li7Mn2Co3O12, a crystal structure in Alexandria, relaxed with GGA+U gives the simulated X-ray powder pattern in this record (Cu Ka).
No peak broadening, texture or thermal motion is included.

Cell and atoms:
```
data_Li7Mn2Co3O12
_cell_length_a 5.1114
_cell_length_b 5.8544
_cell_length_c 7.6003
_cell_angle_alpha 78.80
_cell_angle_beta 77.14
_cell_angle_gamma 73.12
_space_group_name_H-M_alt 'P 1'
_space_group_IT_number 1
loop_
_space_group_symop_operation_xyz
'x,y,z'
loop_
_atom_site_label
_atom_site_type_symbol
_atom_site_fract_x
_atom_site_fract_y
_atom_site_fract_z
_atom_site_occupancy
Li1 Li 0.0000 0.0000 0.0000 1
Li2 Li 0.0023 0.5082 0.9977 1
Li3 Li 0.0059 0.8420 0.6577 1
Li4 Li 0.0091 0.3312 0.6585 1
Li5 Li 0.5017 0.0050 0.4992 1
Li6 Li 0.9924 0.1639 0.3417 1
Li7 Li 0.9959 0.6686 0.3397 1
Mn1 Mn 0.5024 0.1707 0.8276 1
Mn2 Mn 0.5032 0.3333 0.1705 1
Co1 Co 0.4940 0.8372 0.1826 1
Co2 Co 0.5004 0.4980 0.4991 1
Co3 Co 0.5080 0.6792 0.8190 1
O1 O 0.2698 0.0115 0.7616 1
O2 O 0.2699 0.8161 0.4111 1
O3 O 0.2756 0.4864 0.7415 1
O4 O 0.2786 0.3449 0.4044 1
O5 O 0.2801 0.1772 0.0794 1
O6 O 0.2825 0.6519 0.0758 1
O7 O 0.7231 0.3341 0.9233 1
O8 O 0.7251 0.6553 0.5885 1
O9 O 0.7260 0.1859 0.5939 1
O10 O 0.7275 0.4953 0.2545 1
O11 O 0.7280 0.8544 0.9147 1
O12 O 0.7348 0.0194 0.2410 1
```

The 12 most intense peaks (10 to 90 degrees two-theta), by angle:
2theta	I/Imax
18.4	100.0
36.1	26.2
36.7	12.2
37.8	6.5
43.6	28.7
43.8	28.4
44.4	26.4
48.1	8.1
63.4	15.4
63.6	15.0
64.6	7.1
64.7	7.0

---

7.
For Li3MnCoO5, a crystal structure in Alexandria, relaxed with GGA+U gives the simulated X-ray powder pattern in this record (Cu Ka).
No peak broadening, texture or thermal motion is included.

Cell and atoms:
```
data_Li3MnCoO5
_cell_length_a 12.7205
_cell_length_b 2.9152
_cell_length_c 9.7930
_cell_angle_alpha 90.00
_cell_angle_beta 101.54
_cell_angle_gamma 90.00
_space_group_name_H-M_alt 'C 1 2/m 1'
_space_group_IT_number 12
loop_
_space_group_symop_operation_xyz
'x,y,z'
'-x,-y,-z'
'-x,y,-z'
'x,-y,z'
'x+1/2,y+1/2,z'
'-x+1/2,-y+1/2,-z'
'-x+1/2,y+1/2,-z'
'x+1/2,-y+1/2,z'
loop_
_atom_site_label
_atom_site_type_symbol
_atom_site_fract_x
_atom_site_fract_y
_atom_site_fract_z
_atom_site_occupancy
Li1 Li 0.0000 0.0000 0.0000 1
Li2 Li 0.0000 0.5000 0.5000 1
Li3 Li 0.0965 0.0000 0.2905 1
Li4 Li 0.1908 0.5000 0.1014 1
Mn1 Mn 0.0958 0.5000 0.8060 1
Co1 Co 0.2021 0.0000 0.6012 1
O1 O 0.0392 0.5000 0.1558 1
O2 O 0.0580 0.0000 0.6660 1
O3 O 0.1464 0.0000 0.9324 1
O4 O 0.1547 0.5000 0.4631 1
O5 O 0.2409 0.5000 0.7435 1
```

The 12 most intense peaks (10 to 90 degrees two-theta), by angle:
2theta	I/Imax
14.2	8.6
18.5	100.0
36.0	36.9
37.8	7.6
43.6	57.5
43.9	27.5
48.0	7.8
57.5	11.0
62.8	7.4
63.6	29.4
63.9	7.8
67.1	8.5

---

8.
For Li4MnCo2O7, a crystal structure in Alexandria, relaxed with GGA+U gives the simulated X-ray powder pattern in this record (Cu Ka).
No peak broadening, texture or thermal motion is included.

Cell and atoms:
```
data_Li4MnCo2O7
_cell_length_a 4.9855
_cell_length_b 19.9939
_cell_length_c 5.0699
_cell_angle_alpha 90.00
_cell_angle_beta 109.46
_cell_angle_gamma 90.00
_space_group_name_H-M_alt 'C 1 2 1'
_space_group_IT_number 5
loop_
_space_group_symop_operation_xyz
'x,y,z'
'-x,y,-z'
'x+1/2,y+1/2,z'
'-x+1/2,y+1/2,-z'
loop_
_atom_site_label
_atom_site_type_symbol
_atom_site_fract_x
_atom_site_fract_y
_atom_site_fract_z
_atom_site_occupancy
Li1 Li 0.0000 0.0000 0.0000 1
Li2 Li 0.0000 0.0658 0.5000 1
Li3 Li 0.0000 0.2168 0.5000 1
Li4 Li 0.0000 0.3599 0.5000 1
Li5 Li 0.0000 0.5009 0.5000 1
Li6 Li 0.0000 0.6421 0.5000 1
Li7 Li 0.0000 0.7880 0.5000 1
Li8 Li 0.0000 0.9323 0.5000 1
Mn1 Mn 0.0000 0.1423 0.0000 1
Mn2 Mn 0.0000 0.4309 0.0000 1
Co1 Co 0.0000 0.2867 0.0000 1
Co2 Co 0.0000 0.5716 0.0000 1
Co3 Co 0.0000 0.7158 0.0000 1
Co4 Co 0.0000 0.8586 0.0000 1
O1 O 0.2204 0.5003 0.2295 1
O2 O 0.2247 0.2162 0.2311 1
O3 O 0.2406 0.7861 0.2116 1
O4 O 0.2419 0.6440 0.2159 1
O5 O 0.2433 0.3576 0.2191 1
O6 O 0.2474 0.4245 0.7764 1
O7 O 0.2482 0.0776 0.2255 1
```

The 12 most intense peaks (10 to 90 degrees two-theta), by angle:
2theta	I/Imax
18.6	100.0
36.6	13.0
36.8	24.1
38.4	6.8
44.1	26.7
44.5	51.8
48.5	11.5
58.5	9.5
64.0	13.9
64.2	6.9
64.9	14.3
65.3	6.8

---

9.
For Li2MnCoO4, a crystal structure in Alexandria, relaxed with GGA+U gives the simulated X-ray powder pattern in this record (Cu Ka).
No peak broadening, texture or thermal motion is included.

Cell and atoms:
```
data_Li2MnCoO4
_cell_length_a 10.3071
_cell_length_b 5.9611
_cell_length_c 5.0692
_cell_angle_alpha 90.00
_cell_angle_beta 109.48
_cell_angle_gamma 90.00
_space_group_name_H-M_alt 'C 1 2/c 1'
_space_group_IT_number 15
loop_
_space_group_symop_operation_xyz
'x,y,z'
'-x,-y,-z'
'-x,y,-z+1/2'
'x,-y,z+1/2'
'x+1/2,y+1/2,z'
'-x+1/2,-y+1/2,-z'
'-x+1/2,y+1/2,-z+1/2'
'x+1/2,-y+1/2,z+1/2'
loop_
_atom_site_label
_atom_site_type_symbol
_atom_site_fract_x
_atom_site_fract_y
_atom_site_fract_z
_atom_site_occupancy
Li1 Li 0.2492 0.1305 0.2604 1
Mn1 Mn 0.0000 0.3740 0.2500 1
Co1 Co 0.0000 0.1216 0.7500 1
O1 O 0.1116 0.3911 0.0051 1
O2 O 0.1147 0.1451 0.4805 1
```

The 12 most intense peaks (10 to 90 degrees two-theta), by angle:
2theta	I/Imax
18.3	100.0
35.5	28.5
35.9	13.6
37.0	14.5
43.1	51.5
43.4	25.4
47.1	9.5
57.0	14.1
62.4	20.9
63.0	6.8
63.3	13.6
78.9	6.2

---

10.
For Li5MnCo2O8, a crystal structure in Alexandria, relaxed with GGA+U gives the simulated X-ray powder pattern in this record (Cu Ka).
No peak broadening, texture or thermal motion is included.

Cell and atoms:
```
data_Li5MnCo2O8
_cell_length_a 9.9220
_cell_length_b 5.7998
_cell_length_c 5.8340
_cell_angle_alpha 90.00
_cell_angle_beta 125.32
_cell_angle_gamma 90.00
_space_group_name_H-M_alt 'C 1 2/m 1'
_space_group_IT_number 12
loop_
_space_group_symop_operation_xyz
'x,y,z'
'-x,-y,-z'
'-x,y,-z'
'x,-y,z'
'x+1/2,y+1/2,z'
'-x+1/2,-y+1/2,-z'
'-x+1/2,y+1/2,-z'
'x+1/2,-y+1/2,z'
loop_
_atom_site_label
_atom_site_type_symbol
_atom_site_fract_x
_atom_site_fract_y
_atom_site_fract_z
_atom_site_occupancy
Li1 Li 0.0000 0.0000 0.0000 1
Li2 Li 0.0000 0.0000 0.5000 1
Li3 Li 0.0000 0.5000 0.0000 1
Li4 Li 0.2500 0.2500 0.0000 1
Mn1 Mn 0.0000 0.5000 0.5000 1
Co1 Co 0.2500 0.2500 0.5000 1
O1 O 0.0134 0.2642 0.2782 1
O2 O 0.2389 0.5000 0.7394 1
O3 O 0.2488 0.0000 0.7079 1
```

The 12 most intense peaks (10 to 90 degrees two-theta), by angle:
2theta	I/Imax
18.6	100.0
18.8	32.1
21.6	11.0
36.3	8.1
36.4	25.0
36.9	11.5
38.2	8.0
44.0	59.5
44.8	28.4
58.1	11.1
64.3	23.2
64.9	15.3

---

Q: What is the formula in the eighth record?
A: Li4MnCo2O7